The following is a computed powder XRD pattern of Li7Mn10Cr6O32. It was derived from a GGA+U-relaxed structure, using Cu Ka.
Neutral-atom scattering factors, no anomalous dispersion.

Atomic structure:
```
55
Lattice="5.9031 0.0000 0.0000 2.9326 5.1291 0.0000 2.9337 1.5071 19.2302" Properties=species:S:1:pos:R:3 pbc="T T T"
Li 0.0000 0.0000 0.0000
Li 2.8530 1.6406 15.5851
Li 2.8776 1.6979 4.7993
Li 2.9646 1.7787 1.1377
Li 5.8794 3.4738 5.9585
Li 8.7677 4.9585 14.3483
Li 8.7608 5.1497 10.7289
Mn 1.4193 0.8557 7.7722
Mn 4.3719 4.1294 17.3878
Mn 2.8562 1.6644 10.1365
Mn 4.3506 2.4854 12.5411
Mn 4.3671 0.8479 7.7793
Mn 7.3140 4.1274 17.3860
Mn 5.9048 3.4485 0.5707
Mn 7.2776 2.4917 12.5500
Mn 7.3454 4.3055 2.9772
Mn 8.8075 5.1563 5.3752
Cr 2.8883 3.4042 7.7759
Cr 5.8018 5.0421 12.5289
Cr 4.3953 4.2987 2.9702
Cr 5.8009 3.3088 14.9637
Cr 5.8524 1.5711 17.3954
Cr 5.8841 1.7382 2.9729
O 2.8716 3.6311 4.1431
O 1.2731 0.7705 4.1675
O 2.8658 1.6789 13.5527
O 4.4531 4.0481 13.6508
O 4.2131 4.4000 6.5995
O 2.8665 1.6567 6.7539
O 5.7355 4.8605 16.2422
O 4.4789 2.5445 16.2878
O 5.7452 5.3079 8.9100
O 4.1728 2.3718 8.9330
O 5.8217 3.3187 18.4010
O 7.5055 5.6850 18.5907
O 4.1864 0.9270 11.3750
O 5.8148 3.2658 11.5683
O 4.5947 2.6944 1.7700
O 5.9201 4.9784 1.8105
O 5.8127 1.7563 13.6209
O 7.1540 4.0625 13.6611
O 5.9179 3.4744 3.9840
O 4.5432 0.7567 4.1352
O 7.1599 2.5684 16.2521
O 8.8138 4.9485 16.3830
O 7.4831 4.4160 6.6035
O 5.9039 1.5455 6.6025
O 10.1358 5.7111 18.5478
O 8.8092 5.1614 8.7713
O 8.9011 3.4372 18.5973
O 7.4666 2.3914 8.9105
O 7.2328 2.7309 1.8282
O 8.7729 5.1297 1.9660
O 7.4410 0.9344 11.3901
O 8.7655 3.1709 11.4258
```

Main lines, low angle first (2θ from 15° to 90°):
| d (Å) | Position (°2θ) | intensity | h k l |
| --- | --- | --- | --- |
| 4.848 | 18.3 | 408 | 0 1 -1 |
| 4.812 | 18.4 | 1000 | 1 0 -1 |
| 2.530 | 35.5 | 97 | 1 2 -3 |
| 2.520 | 35.6 | 209 | 1 1 -6 |
| 2.515 | 35.7 | 211 | 2 1 5 |
| 2.505 | 35.9 | 104 | 1 2 5 |
| 2.092 | 43.3 | 510 | 2 2 -4 |
| 2.079 | 43.5 | 251 | 0 2 6 |
| 1.482 | 62.7 | 147 | 0 2 -10 |
| 1.476 | 63.0 | 146 | 4 2 2 |